# 1
Structure and calculated powder diffraction line list of Ba2PrCu3O6 (the PBE geometry in the Materials Project; a wavelength of 1.5418 Å).

Most intense lines, 15° ≤ 2θ ≤ 90°, in order of rising 2θ:
- 23.2°, rel. 8, hkl 1 0 0
- 30.6°, rel. 100, hkl 1 0 3
- 33.0°, rel. 42, hkl 1 1 0
- 38.7°, rel. 10, hkl 1 1 3
- 39.9°, rel. 12, hkl 0 0 6
- 47.4°, rel. 24, hkl 2 0 0
- 52.7°, rel. 20, hkl 1 1 6
- 57.4°, rel. 33, hkl 2 1 3
- 63.6°, rel. 11, hkl 2 0 6
- 66.8°, rel. 8, hkl 1 0 9

Cell and atoms:
a b c (Å): 3.8390 3.8390 13.5425
angles (deg): 90.00 90.00 90.00
Space group P-4m2 (No. 115)
Asymmetric unit:
Ba 0.0000 0.0000 0.1494 x2
Pr 0.0000 0.0000 0.5000 x1
Cu 0.5000 0.5000 0.0000 x1
Cu 0.5000 0.5000 0.3392 x2
O 0.0000 0.5000 0.0002 x2
O 0.0000 0.5000 0.4074 x2
O 0.5000 0.5000 0.2038 x2



# 2
Structure and calculated powder diffraction line list of LiLu2Re (the PBE geometry in the Materials Project; a wavelength of 1.5418 Å).

Most intense lines, 15° ≤ 2θ ≤ 90°, in order of rising 2θ:
- 22.5°, rel. 27, hkl 1 1 1
- 26.0°, rel. 11, hkl 2 0 0
- 37.2°, rel. 100, hkl 2 2 0
- 43.9°, rel. 14, hkl 3 1 1
- 53.6°, rel. 18, hkl 4 0 0
- 58.8°, rel. 6, hkl 3 3 1
- 67.0°, rel. 36, hkl 4 2 2
- 71.7°, rel. 4, hkl 5 1 1
- 79.2°, rel. 11, hkl 4 4 0
- 83.6°, rel. 5, hkl 5 3 1

Cell and atoms:
a b c (Å): 6.8414 6.8414 6.8414
angles (deg): 90.00 90.00 90.00
Space group Fm-3m (No. 225)
Asymmetric unit:
Li 0.0000 0.0000 0.0000 x4
Lu 0.2500 0.2500 0.2500 x8
Re 0.0000 0.0000 0.5000 x4



# 3
Structure and calculated powder diffraction line list of Ce2Sn3 (the PBE geometry in the Materials Project; a wavelength of 1.5418 Å).

Most intense lines, 15° ≤ 2θ ≤ 90°, in order of rising 2θ:
- 29.5°, rel. 15, hkl 1 2 0
- 30.1°, rel. 15, hkl 2 -1 1
- 32.0°, rel. 36, hkl 2 1 -1
- 32.3°, rel. 52, hkl 0 1 -4
- 32.5°, rel. 91, hkl 0 2 2
- 33.1°, rel. 100, hkl 0 3 -2
- 34.1°, rel. 17, hkl 1 -3 0
- 36.0°, rel. 24, hkl 2 0 2
- 37.4°, rel. 22, hkl -2 1 3
- 43.7°, rel. 15, hkl -2 1 4

Cell and atoms:
a b c (Å): 6.4383 8.4100 11.1668
angles (deg): 106.77 96.67 100.29
Space group P-1 (No. 2)
Asymmetric unit:
Ce 0.0426 0.2481 0.4438 x2
Ce 0.1256 0.2557 0.8846 x2
Ce 0.3318 0.5324 0.2437 x2
Ce 0.4405 0.0684 0.1623 x2
Sn 0.0464 0.8555 0.8784 x2
Sn 0.1746 0.5338 0.7218 x2
Sn 0.2190 0.9041 0.3632 x2
Sn 0.3219 0.1021 0.6408 x2
Sn 0.3592 0.6665 0.0007 x2
Sn 0.4378 0.6716 0.5506 x2



# 4
Structure and calculated powder diffraction line list of Al (the PBE geometry in the Materials Project; a wavelength of 1.5418 Å).

Most intense lines, 15° ≤ 2θ ≤ 90°, in order of rising 2θ:
- 38.6°, rel. 100, hkl 1 1 1
- 44.9°, rel. 48, hkl 2 0 0
- 65.3°, rel. 31, hkl 2 2 0
- 78.6°, rel. 36, hkl 3 1 1
- 82.8°, rel. 11, hkl 2 2 2

Cell and atoms:
a b c (Å): 4.0389 4.0389 4.0389
angles (deg): 90.00 90.00 90.00
Space group Fm-3m (No. 225)
Asymmetric unit:
Al 0.0000 0.0000 0.0000 x4



# 5
Structure and calculated powder diffraction line list of SnF4 (the PBE geometry in the Materials Project; a wavelength of 1.5418 Å).

Most intense lines, 15° ≤ 2θ ≤ 90°, in order of rising 2θ:
- 21.2°, rel. 31, hkl 0 0 2
- 23.9°, rel. 100, hkl 1 0 1
- 30.4°, rel. 25, hkl 1 1 0
- 38.9°, rel. 20, hkl 1 0 3
- 43.2°, rel. 12, hkl 0 0 4
- 43.5°, rel. 25, hkl 2 0 0
- 48.9°, rel. 14, hkl 2 0 2
- 50.3°, rel. 28, hkl 2 1 1
- 59.8°, rel. 12, hkl 2 1 3
- 63.0°, rel. 14, hkl 2 0 4

Cell and atoms:
a b c (Å): 4.1584 4.1584 8.3675
angles (deg): 90.00 90.00 90.00
Space group I4/mmm (No. 139)
Asymmetric unit:
Sn 0.0000 0.0000 0.0000 x2
F 0.0000 0.0000 0.2282 x4
F 0.0000 0.5000 0.0000 x4



# 6
Structure and calculated powder diffraction line list of K2ScAgF6 (the PBE geometry in the Materials Project; a wavelength of 1.5418 Å).

Most intense lines, 15° ≤ 2θ ≤ 90°, in order of rising 2θ:
- 19.9°, rel. 40, hkl 2 0 0
- 28.4°, rel. 100, hkl 2 2 0
- 33.4°, rel. 17, hkl 3 1 1
- 40.5°, rel. 54, hkl 4 0 0
- 44.4°, rel. 12, hkl 3 3 1
- 45.6°, rel. 16, hkl 4 2 0
- 50.2°, rel. 36, hkl 4 2 2
- 58.7°, rel. 30, hkl 4 4 0
- 66.4°, rel. 17, hkl 6 2 0
- 80.8°, rel. 19, hkl 6 4 2

Cell and atoms:
a b c (Å): 8.9024 8.9024 8.9024
angles (deg): 90.00 90.00 90.00
Space group Fm-3m (No. 225)
Asymmetric unit:
K 0.2500 0.2500 0.2500 x8
Sc 0.0000 0.0000 0.0000 x4
Ag 0.0000 0.0000 0.5000 x4
F 0.0000 0.0000 0.2277 x24